Theoretical XRD peak list of Na5TlAg5 for Cu Ka, from a crystal structure in Alexandria, relaxed with GGA-PBE.
Peak positions follow from Bragg's law for the DFT cell and can differ from measured ones.

```
Na5TlAg5
1.0
5.602 0.000 0.000
-2.801 4.851 0.000
0.000 0.000 10.315
Na Tl Ag
5 1 5
Cartesian
0.000 0.000 0.000
0.000 3.234 3.451
0.000 3.234 6.864
2.801 1.617 2.090
2.801 1.617 8.225
0.000 3.234 0.000
0.000 0.000 2.834
0.000 0.000 7.481
1.421 0.820 5.158
4.181 0.820 5.158
2.801 3.211 5.158
```

The 12 most intense peaks (2θ from 10° to 90°), in order of falling intensity:
hkl  Position (°2θ)  I/Imax
1 0 1  20.2  100
1 1 0  31.9  87
2 0 2  41.1  82
1 1 3  41.6  39
1 0 2  25.2  36
1 1 1  33.1  31
2 0 0  37.1  30
0 0 4  34.8  29
1 0 5  47.9  28
0 0 2  17.2  24
1 0 0  18.3  22
2 1 3  56.9  21